# 1
The following is a simulated XRD peak list of ReN2. It was derived from the GGA-PBE geometry in the Materials Project, using Cu Kα.
Kinematic intensities with the Lorentz-polarization factor, no thermal factor.

Atomic structure:
Lattice parameters (Å, degrees): 4.009 2.893 5.097 90.00 93.33 90.00
Space group Pm (No. 6)
Asymmetric unit:
Re: 0.000 0.000 0.000 (multiplicity 1)
Re: 0.427 0.500 0.558 (multiplicity 1)
N: 0.215 0.000 0.350 (multiplicity 1)
N: 0.386 0.500 0.966 (multiplicity 1)
N: 0.655 0.500 0.142 (multiplicity 1)
N: 0.906 0.500 0.696 (multiplicity 1)

Most intense lines, 5 to 70 degrees two-theta, sorted by position:
27.54 deg, rel. 869; 29.18 deg, rel. 840; 35.28 deg, rel. 515; 35.70 deg, rel. 1000; 38.39 deg, rel. 933; 45.31 deg, rel. 235; 52.14 deg, rel. 317; 54.08 deg, rel. 414; 59.89 deg, rel. 278; 60.50 deg, rel. 259

# 2
The following is a simulated XRD peak list of CoBW. It was derived from the GGA-PBE geometry in the Materials Project, using Cu Kα.
Kinematic intensities with the Lorentz-polarization factor, no thermal factor.

Atomic structure:
Lattice parameters (Å, degrees): 5.746 3.260 6.634 90.00 90.00 90.00
Space group Pnma (No. 62)
Asymmetric unit:
Co: 0.143 0.250 0.058 (multiplicity 4)
B: 0.230 0.750 0.874 (multiplicity 4)
W: 0.028 0.250 0.675 (multiplicity 4)

Most intense lines, 5 to 70 degrees two-theta, sorted by position:
20.45 deg, rel. 159; 30.56 deg, rel. 565; 31.13 deg, rel. 410; 41.59 deg, rel. 169; 41.92 deg, rel. 1000; 43.87 deg, rel. 451; 44.18 deg, rel. 616; 49.54 deg, rel. 131; 56.46 deg, rel. 176; 65.16 deg, rel. 135

# 3
The following is a simulated XRD peak list of AcI3. It was derived from the GGA-PBE geometry in the Materials Project, using Cu Kα.
Kinematic intensities with the Lorentz-polarization factor, no thermal factor.

Atomic structure:
Lattice parameters (Å, degrees): 11.5951 11.5951 4.3903 90.00 90.00 120.00
Space group P6_3/mmc (No. 194)
Asymmetric unit:
Ac: 0.3333 0.6667 0.2500 (multiplicity 2)
I: 0.2110 0.4220 0.7500 (multiplicity 6)

Most intense lines, 5 to 70 degrees two-theta, sorted by position:
8.81 deg, rel. 923; 15.28 deg, rel. 338; 17.66 deg, rel. 556; 26.98 deg, rel. 1000; 30.85 deg, rel. 213; 31.15 deg, rel. 376; 33.67 deg, rel. 319; 38.27 deg, rel. 352; 41.16 deg, rel. 210; 55.05 deg, rel. 248

# 4
The following is a simulated XRD peak list of GdAsO4. It was derived from the GGA-PBE geometry in the Materials Project, using Cu Kα.
Kinematic intensities with the Lorentz-polarization factor, no thermal factor.

Atomic structure:
Lattice parameters (Å, degrees): 5.099 5.099 11.509 90.00 90.00 90.00
Space group I4_1/a (No. 88, origin choice 2)
Asymmetric unit:
Gd: 0.000 0.250 0.125 (multiplicity 4)
As: 0.000 0.250 0.625 (multiplicity 4)
O: 0.146 0.000 0.703 (multiplicity 16)

Most intense lines, 5 to 70 degrees two-theta, sorted by position:
19.04 deg, rel. 115; 29.23 deg, rel. 1000; 31.08 deg, rel. 163; 35.20 deg, rel. 199; 40.32 deg, rel. 69; 47.66 deg, rel. 285; 50.63 deg, rel. 120; 54.16 deg, rel. 173; 59.54 deg, rel. 274; 60.61 deg, rel. 117

# 5
The following is a simulated XRD peak list of AcZn3. It was derived from the GGA-PBE geometry in the Materials Project, using Cu Kα.
Kinematic intensities with the Lorentz-polarization factor, no thermal factor.

Atomic structure:
Lattice parameters (Å, degrees): 6.9361 6.9361 4.4277 90.00 90.00 120.00
Space group P6_3/mmc (No. 194)
Asymmetric unit:
Ac: 0.3333 0.6667 0.2500 (multiplicity 2)
Zn: 0.1328 0.2657 0.7500 (multiplicity 6)

Most intense lines, 5 to 70 degrees two-theta, sorted by position:
24.98 deg, rel. 512; 25.69 deg, rel. 307; 29.75 deg, rel. 262; 36.14 deg, rel. 1000; 39.70 deg, rel. 183; 40.76 deg, rel. 187; 52.79 deg, rel. 156; 58.21 deg, rel. 119; 59.26 deg, rel. 215; 68.77 deg, rel. 140

# 6
The following is a simulated XRD peak list of TmCd2. It was derived from the GGA-PBE geometry in the Materials Project, using Cu Kα.
Kinematic intensities with the Lorentz-polarization factor, no thermal factor.

Atomic structure:
Lattice parameters (Å, degrees): 4.9538 4.9538 3.4055 90.00 90.00 120.00
Space group P6/mmm (No. 191)
Asymmetric unit:
Tm: 0.0000 0.0000 0.0000 (multiplicity 1)
Cd: 0.3333 0.6667 0.5000 (multiplicity 2)

Most intense lines, 5 to 70 degrees two-theta, sorted by position:
20.70 deg, rel. 56; 26.17 deg, rel. 16; 33.60 deg, rel. 1000; 36.27 deg, rel. 804; 45.27 deg, rel. 19; 50.27 deg, rel. 318; 53.84 deg, rel. 84; 63.55 deg, rel. 310; 65.24 deg, rel. 140; 66.65 deg, rel. 262

# 7
The following is a simulated XRD peak list of PO2. It was derived from the GGA-PBE geometry in the Materials Project, using Cu Kα.
Kinematic intensities with the Lorentz-polarization factor, no thermal factor.

Atomic structure:
Lattice parameters (Å, degrees): 9.947 10.505 7.298 90.00 97.24 90.00
Space group C2/c (No. 15)
Asymmetric unit:
P: 0.039 0.186 0.060 (multiplicity 8)
P: 0.139 0.383 0.324 (multiplicity 8)
O: 0.000 0.119 0.250 (multiplicity 4)
O: 0.000 0.459 0.250 (multiplicity 4)
O: 0.091 0.291 0.479 (multiplicity 8)
O: 0.158 0.290 0.155 (multiplicity 8)
O: 0.247 0.034 0.614 (multiplicity 8)

Most intense lines, 5 to 70 degrees two-theta, sorted by position:
16.56 deg, rel. 1000; 16.88 deg, rel. 149; 18.17 deg, rel. 504; 20.89 deg, rel. 222; 24.76 deg, rel. 133; 26.53 deg, rel. 331; 28.71 deg, rel. 300; 33.47 deg, rel. 187; 37.51 deg, rel. 210; 45.63 deg, rel. 133

Repeat the fourth record exactly.
The following is a simulated XRD peak list of GdAsO4. It was derived from the GGA-PBE geometry in the Materials Project, using Cu Kα.
Kinematic intensities with the Lorentz-polarization factor, no thermal factor.

Atomic structure:
Lattice parameters (Å, degrees): 5.099 5.099 11.509 90.00 90.00 90.00
Space group I4_1/a (No. 88, origin choice 2)
Asymmetric unit:
Gd: 0.000 0.250 0.125 (multiplicity 4)
As: 0.000 0.250 0.625 (multiplicity 4)
O: 0.146 0.000 0.703 (multiplicity 16)

Most intense lines, 5 to 70 degrees two-theta, sorted by position:
19.04 deg, rel. 115; 29.23 deg, rel. 1000; 31.08 deg, rel. 163; 35.20 deg, rel. 199; 40.32 deg, rel. 69; 47.66 deg, rel. 285; 50.63 deg, rel. 120; 54.16 deg, rel. 173; 59.54 deg, rel. 274; 60.61 deg, rel. 117